Diffraction record for CrReS4. The PXRD pattern is simulated, not measured: it uses a crystal structure in Alexandria, relaxed with PBE and Cu Kα X-rays.
Lines closer than 0.1° are merged.

Structural model:
```
data_CrReS4
_chemical_formula_sum 'Cr2 Re2 S8'
_cell_length_a 7.770
_cell_length_b 7.890
_cell_length_c 3.508
_cell_angle_alpha 90.00
_cell_angle_beta 90.00
_cell_angle_gamma 90.00
_symmetry_space_group_name_H-M 'C m m m'
_symmetry_Int_Tables_number 65
_symmetry_space_group_name_Hall '-C 2 2'
loop_
_atom_site_label
_atom_site_fract_x
_atom_site_fract_y
_atom_site_fract_z
Cr1 0.000 0.000 0.000
Re1 0.000 0.500 0.500
S1 0.000 0.299 0.000
S2 0.196 0.000 0.500
```

Largest 10 diffraction maxima, sorted by position, 2θ = 10–90°:
2θ (°)  Rel. int.  index
16.0  91.6  1 1 0
22.5  86.0  0 2 0
22.9  84.7  2 0 0
30.2  100.0  1 1 1
34.2  58.9  0 2 1
36.5  33.3  3 1 0
44.6  63.6  1 3 1
45.0  64.7  3 1 1
46.0  21.2  0 4 0
56.3  50.9  3 3 1

Diffraction record for Sc2CrRe3. The PXRD pattern is simulated, not measured: it uses a crystal structure in Alexandria, relaxed with PBE and Cu Kα X-rays.
Lines closer than 0.1° are merged.

Structural model:
```
data_Sc2CrRe3
_chemical_formula_sum 'Sc4 Cr2 Re6'
_cell_length_a 8.939
_cell_length_b 5.259
_cell_length_c 5.187
_cell_angle_alpha 90.00
_cell_angle_beta 124.44
_cell_angle_gamma 90.00
_symmetry_space_group_name_H-M 'C 1 2/m 1'
_symmetry_Int_Tables_number 12
loop_
_symmetry_equiv_pos_as_xyz
'x,y,z'
'-x,-y,-z'
'-x,y,-z'
'x,-y,z'
'x+1/2,y+1/2,z'
'-x+1/2,-y+1/2,-z'
'-x+1/2,y+1/2,-z'
'x+1/2,-y+1/2,z'
loop_
_atom_site_label
_atom_site_fract_x
_atom_site_fract_y
_atom_site_fract_z
Sc1 0.125 0.000 0.375
Cr1 0.000 0.500 0.000
Re1 0.000 0.500 0.500
Re2 0.250 0.250 0.000
```

Largest 10 diffraction maxima, sorted by position, 2θ = 10–90°:
2θ (°)  Rel. int.  index
20.8  50.9  1 1 0
21.1  99.4  2 0 -1
40.3  98.1  2 0 1
40.5  55.1  3 1 0
40.9  26.8  4 0 -1
42.2  100.0  2 2 0
43.0  31.6  4 0 -2
49.4  47.0  4 0 0
54.3  25.9  4 2 -1
73.0  25.5  6 2 -2

Diffraction record for CrRe3Se. The PXRD pattern is simulated, not measured: it uses a crystal structure in Alexandria, relaxed with PBE and Cu Kα X-rays.
Lines closer than 0.1° are merged.

Structural model:
```
data_CrRe3Se
_chemical_formula_sum 'Cr1 Re3 Se1'
_cell_length_a 4.524
_cell_length_b 4.524
_cell_length_c 4.524
_cell_angle_alpha 90.00
_cell_angle_beta 90.00
_cell_angle_gamma 90.00
_symmetry_space_group_name_H-M 'P m -3 m'
_symmetry_Int_Tables_number 221
_symmetry_space_group_name_Hall '-P 4 2 3'
loop_
_atom_site_label
_atom_site_fract_x
_atom_site_fract_y
_atom_site_fract_z
Cr1 0.000 0.000 0.000
Re1 0.000 0.500 0.500
Se1 0.500 0.500 0.500
```

Largest 10 diffraction maxima, sorted by position, 2θ = 10–90°:
2θ (°)  Rel. int.  index
19.6  47.5  1 0 0
34.3  100.0  1 1 1
39.9  84.8  2 0 0
44.8  23.1  2 1 0
57.6  57.6  2 2 0
61.5  11.6  3 0 0
68.8  40.1  3 1 1
72.4  19.5  2 2 2
85.9  9.5  4 0 0
89.3  7.2  4 1 0

Diffraction record for CrReTc. The PXRD pattern is simulated, not measured: it uses a crystal structure in Alexandria, relaxed with PBE and Cu Kα X-rays.
Lines closer than 0.1° are merged.

Structural model:
```
data_CrReTc
_chemical_formula_sum 'Cr2 Re2 Tc2'
_cell_length_a 2.721
_cell_length_b 3.806
_cell_length_c 8.080
_cell_angle_alpha 90.00
_cell_angle_beta 90.00
_cell_angle_gamma 90.00
_symmetry_space_group_name_H-M 'I m m 2'
_symmetry_Int_Tables_number 44
loop_
_symmetry_equiv_pos_as_xyz
'x,y,z'
'-x,-y,z'
'-x,y,z'
'x,-y,z'
'x+1/2,y+1/2,z+1/2'
'-x+1/2,-y+1/2,z+1/2'
'-x+1/2,y+1/2,z+1/2'
'x+1/2,-y+1/2,z+1/2'
loop_
_atom_site_label
_atom_site_fract_x
_atom_site_fract_y
_atom_site_fract_z
Cr1 0.000 0.000 0.000
Re1 0.000 0.000 0.666
Tc1 0.000 0.000 0.337
```

Largest 10 diffraction maxima, sorted by position, 2θ = 10–90°:
2θ (°)  Rel. int.  index
22.0  24.5  0 0 2
25.9  38.2  0 1 1
34.8  18.3  1 0 1
40.8  100.0  1 1 0
41.1  97.9  0 1 3
47.5  63.9  1 0 3
47.8  31.4  0 2 0
69.7  39.7  1 2 3
83.6  24.3  2 1 3
84.2  35.8  1 3 0

Diffraction record for Ti5CrRe4. The PXRD pattern is simulated, not measured: it uses a crystal structure in Alexandria, relaxed with PBE and Cu Kα X-rays.
Lines closer than 0.1° are merged.

Structural model:
```
data_Ti5CrRe4
_chemical_formula_sum 'Ti5 Cr1 Re4'
_cell_length_a 3.117
_cell_length_b 3.117
_cell_length_c 15.469
_cell_angle_alpha 90.00
_cell_angle_beta 90.00
_cell_angle_gamma 90.00
_symmetry_space_group_name_H-M 'P 4/m m m'
_symmetry_Int_Tables_number 123
_symmetry_space_group_name_Hall '-P 4 2'
loop_
_atom_site_label
_atom_site_fract_x
_atom_site_fract_y
_atom_site_fract_z
Ti1 0.000 0.000 0.000
Ti2 0.000 0.000 0.201
Ti3 0.000 0.000 0.401
Cr1 0.500 0.500 0.500
Re1 0.500 0.500 0.101
Re2 0.500 0.500 0.304
```

Largest 10 diffraction maxima, sorted by position, 2θ = 10–90°:
2θ (°)  Rel. int.  index
28.6  37.8  1 0 0
28.9  18.4  0 0 5
40.9  50.8  1 1 0
41.1  100.0  1 0 5
50.9  16.5  1 1 5
59.3  17.1  2 0 0
59.8  8.0  0 0 10
74.7  33.3  2 1 5
75.0  16.2  1 1 10
89.2  10.7  2 0 10

Diffraction record for V6CrRe. The PXRD pattern is simulated, not measured: it uses a crystal structure in Alexandria, relaxed with PBE and Cu Kα X-rays.
Lines closer than 0.1° are merged.

Structural model:
```
data_V6CrRe
_chemical_formula_sum 'V12 Cr2 Re2'
_cell_length_a 5.983
_cell_length_b 8.486
_cell_length_c 4.203
_cell_angle_alpha 90.00
_cell_angle_beta 90.00
_cell_angle_gamma 90.00
_symmetry_space_group_name_H-M 'C m m m'
_symmetry_Int_Tables_number 65
_symmetry_space_group_name_Hall '-C 2 2'
loop_
_atom_site_label
_atom_site_fract_x
_atom_site_fract_y
_atom_site_fract_z
V1 0.000 0.248 0.000
V2 0.245 0.000 0.000
V3 0.250 0.250 0.500
Cr1 0.000 0.000 0.500
Re1 0.000 0.500 0.500
```

Largest 10 diffraction maxima, sorted by position, 2θ = 10–90°:
2θ (°)  Rel. int.  index
18.1  23.3  1 1 0
20.9  10.1  0 2 0
28.0  19.5  1 1 1
29.9  13.0  2 0 0
42.6  25.3  0 4 0
42.8  100.0  2 2 1
43.0  24.6  0 0 2
62.2  15.4  0 4 2
78.2  22.8  4 4 0
78.7  14.9  2 2 3

Diffraction record for V8CrRe2. The PXRD pattern is simulated, not measured: it uses a crystal structure in Alexandria, relaxed with PBE and Cu Kα X-rays.
Lines closer than 0.1° are merged.

Structural model:
```
data_V8CrRe2
_chemical_formula_sum 'V16 Cr2 Re4'
_cell_length_a 12.002
_cell_length_b 4.260
_cell_length_c 7.014
_cell_angle_alpha 90.00
_cell_angle_beta 120.48
_cell_angle_gamma 90.00
_symmetry_space_group_name_H-M 'C 1 2/m 1'
_symmetry_Int_Tables_number 12
loop_
_symmetry_equiv_pos_as_xyz
'x,y,z'
'-x,-y,-z'
'-x,y,-z'
'x,-y,z'
'x+1/2,y+1/2,z'
'-x+1/2,-y+1/2,-z'
'-x+1/2,y+1/2,-z'
'x+1/2,-y+1/2,z'
loop_
_atom_site_label
_atom_site_fract_x
_atom_site_fract_y
_atom_site_fract_z
V1 0.046 0.000 0.358
V2 0.056 0.500 0.885
V3 0.186 0.500 0.447
V4 0.203 0.000 0.803
Cr1 0.000 0.500 0.500
Re1 0.146 0.000 0.112
```

Largest 10 diffraction maxima, sorted by position, 2θ = 10–90°:
2θ (°)  Rel. int.  index
14.7  42.6  0 0 1
24.5  56.5  1 1 -1
29.9  33.5  4 0 -1
33.4  54.1  3 1 0
38.9  34.2  2 0 -3
41.0  36.5  1 1 2
41.9  100.0  3 1 1
42.4  71.0  0 2 0
44.0  69.5  5 1 -2
44.3  56.3  3 1 -3

Diffraction record for V4Cr2Re3. The PXRD pattern is simulated, not measured: it uses a crystal structure in Alexandria, relaxed with PBE and Cu Kα X-rays.
Lines closer than 0.1° are merged.

Structural model:
```
data_V4Cr2Re3
_chemical_formula_sum 'V4 Cr2 Re3'
_cell_length_a 4.2548
_cell_length_b 4.2548
_cell_length_c 7.7693
_cell_angle_alpha 90.00
_cell_angle_beta 90.00
_cell_angle_gamma 120.00
_symmetry_space_group_name_H-M 'P -3 m 1'
_symmetry_Int_Tables_number 164
_symmetry_space_group_name_Hall '-P 3 2"'
loop_
_atom_site_label
_atom_site_fract_x
_atom_site_fract_y
_atom_site_fract_z
V1 0.0000 0.0000 0.1724
V2 0.3333 0.6667 0.6094
Cr1 0.3333 0.6667 0.2782
Re1 0.0000 0.0000 0.5000
Re2 0.3333 0.6667 0.9441
```

Largest 10 diffraction maxima, sorted by position, 2θ = 10–90°:
2θ (°)  Rel. int.  index
11.4  12.7  0 0 1
22.9  23.5  0 0 2
26.8  66.9  0 1 1
42.5  100.0  1 1 0
42.7  98.6  0 1 3
48.8  20.6  1 1 2
61.8  31.9  2 0 3
77.8  16.1  3 0 0
77.9  32.1  1 2 3
78.3  15.8  1 0 6

Diffraction record for V3CrRe2. The PXRD pattern is simulated, not measured: it uses a crystal structure in Alexandria, relaxed with PBE and Cu Kα X-rays.
Lines closer than 0.1° are merged.

Structural model:
```
data_V3CrRe2
_chemical_formula_sum 'V3 Cr1 Re2'
_cell_length_a 3.003
_cell_length_b 3.003
_cell_length_c 9.004
_cell_angle_alpha 90.00
_cell_angle_beta 90.00
_cell_angle_gamma 90.00
_symmetry_space_group_name_H-M 'P 4/m m m'
_symmetry_Int_Tables_number 123
_symmetry_space_group_name_Hall '-P 4 2'
loop_
_atom_site_label
_atom_site_fract_x
_atom_site_fract_y
_atom_site_fract_z
V1 0.000 0.000 0.000
V2 0.000 0.000 0.341
Cr1 0.500 0.500 0.500
Re1 0.500 0.500 0.170
```

Largest 10 diffraction maxima, sorted by position, 2θ = 10–90°:
2θ (°)  Rel. int.  index
19.7  6.6  0 0 2
29.8  29.5  1 0 0
31.4  7.4  1 0 1
35.9  7.8  1 0 2
42.6  100.0  1 1 0
47.3  3.0  1 1 2
52.8  8.5  1 1 3
61.8  16.0  2 0 0
70.1  11.4  2 1 0
77.9  32.0  2 1 3

Diffraction record for V4Cr3Re2. The PXRD pattern is simulated, not measured: it uses a crystal structure in Alexandria, relaxed with PBE and Cu Kα X-rays.
Lines closer than 0.1° are merged.

Structural model:
```
data_V4Cr3Re2
_chemical_formula_sum 'V4 Cr3 Re2'
_cell_length_a 4.1821
_cell_length_b 4.1821
_cell_length_c 7.7882
_cell_angle_alpha 90.00
_cell_angle_beta 90.00
_cell_angle_gamma 120.00
_symmetry_space_group_name_H-M 'P -3 m 1'
_symmetry_Int_Tables_number 164
_symmetry_space_group_name_Hall '-P 3 2"'
loop_
_atom_site_label
_atom_site_fract_x
_atom_site_fract_y
_atom_site_fract_z
V1 0.0000 0.0000 0.1658
V2 0.3333 0.6667 0.6105
Cr1 0.0000 0.0000 0.5000
Cr2 0.3333 0.6667 0.9491
Re1 0.3333 0.6667 0.2740
```

Largest 10 diffraction maxima, sorted by position, 2θ = 10–90°:
2θ (°)  Rel. int.  index
22.8  17.8  0 0 2
27.2  64.3  0 1 1
33.8  14.4  1 0 2
42.9  100.0  0 1 3
43.3  93.5  1 1 0
49.5  15.0  1 1 2
62.5  31.1  2 0 3
78.2  15.3  1 0 6
79.1  30.9  1 2 3
79.4  14.6  3 0 0

Diffraction record for V3Cr6Re. The PXRD pattern is simulated, not measured: it uses a crystal structure in Alexandria, relaxed with PBE and Cu Kα X-rays.
Lines closer than 0.1° are merged.

Structural model:
```
data_V3Cr6Re
_chemical_formula_sum 'V6 Cr12 Re2'
_cell_length_a 2.562
_cell_length_b 8.244
_cell_length_c 11.837
_cell_angle_alpha 89.71
_cell_angle_beta 85.74
_cell_angle_gamma 89.84
_symmetry_space_group_name_H-M 'P -1'
_symmetry_Int_Tables_number 2
loop_
_symmetry_equiv_pos_as_xyz
'x,y,z'
'-x,-y,-z'
loop_
_atom_site_label
_atom_site_fract_x
_atom_site_fract_y
_atom_site_fract_z
V1 0.052 0.121 0.346
V2 0.154 0.373 0.050
V3 0.251 0.128 0.754
Cr1 0.055 0.627 0.344
Cr2 0.156 0.876 0.048
Cr3 0.244 0.625 0.755
Cr4 0.351 0.878 0.448
Cr5 0.452 0.625 0.149
Cr6 0.455 0.123 0.145
Re1 0.349 0.370 0.448
```

Largest 10 diffraction maxima, sorted by position, 2θ = 10–90°:
2θ (°)  Rel. int.  index
10.7  25.3  0 1 0
13.1  35.9  0 1 -1
15.0  16.3  0 0 2
43.4  50.7  1 2 2
43.6  100.0  1 -2 2
43.9  48.8  0 4 0
44.1  47.6  0 2 5
44.3  47.3  0 2 -5
63.7  29.5  1 4 -3
79.5  15.3  2 0 4

Diffraction record for VCr8Re2. The PXRD pattern is simulated, not measured: it uses a crystal structure in Alexandria, relaxed with PBE and Cu Kα X-rays.
Lines closer than 0.1° are merged.

Structural model:
```
data_VCr8Re2
_chemical_formula_sum 'V1 Cr8 Re2'
_cell_length_a 2.755
_cell_length_b 6.591
_cell_length_c 8.234
_cell_angle_alpha 110.55
_cell_angle_beta 96.39
_cell_angle_gamma 90.92
_symmetry_space_group_name_H-M 'P -1'
_symmetry_Int_Tables_number 2
loop_
_symmetry_equiv_pos_as_xyz
'x,y,z'
'-x,-y,-z'
loop_
_atom_site_label
_atom_site_fract_x
_atom_site_fract_y
_atom_site_fract_z
V1 0.000 0.000 0.000
Cr1 0.156 0.594 0.915
Cr2 0.194 0.054 0.404
Cr3 0.411 0.214 0.807
Cr4 0.425 0.761 0.738
Re1 0.220 0.609 0.397
```

Largest 10 diffraction maxima, sorted by position, 2θ = 10–90°:
2θ (°)  Rel. int.  index
11.6  73.3  0 0 1
14.4  38.6  0 1 0
36.9  25.0  0 2 -3
38.4  24.2  1 1 -2
41.9  29.2  0 3 -2
43.0  100.0  1 0 2
43.2  21.0  1 2 -1
43.8  47.7  0 2 2
44.3  22.9  0 1 -4
45.5  19.7  1 0 -3